The following is a calculated powder diffractogram of SrCa7Ti3Mn5O24. It was derived from a structure optimized by DFT (GGA+U), using a wavelength of 1.5418 Å.
Intensities are scaled so that the largest is 100.

Structural model:
a = 7.6999 Å, b = 7.6999 Å, c = 7.6695 Å
α = 90.01°, β = 90.01°, γ = 90.02°
Sites, in units of the cell vectors:
Sr1 0.0000 0.0000 0.0000
Ca1 0.5035 0.5035 0.0021
Ca2 0.5035 0.5035 0.4887
Ca3 0.5033 0.9995 0.0021
Ca4 0.5035 0.9994 0.4886
Ca5 0.9995 0.5033 0.0021
Ca6 0.9994 0.5035 0.4886
Ca7 0.9994 0.9994 0.4894
Ti1 0.2522 0.2522 0.7441
Ti2 0.2528 0.7506 0.7442
Ti3 0.7506 0.2528 0.7442
Mn1 0.2522 0.2522 0.2458
Mn2 0.2522 0.7507 0.2456
Mn3 0.7507 0.2522 0.2456
Mn4 0.7509 0.7509 0.2461
Mn5 0.7510 0.7510 0.7445
O1 0.0006 0.2532 0.7437
O2 0.0012 0.2547 0.2494
O3 0.0012 0.7481 0.2490
O4 0.2521 0.2521 0.4919
O5 0.2520 0.5016 0.2454
O6 0.2522 0.5022 0.7447
O7 0.2521 0.7508 0.4924
O8 0.2532 0.0006 0.7437
O9 0.2535 0.2535 0.9990
O10 0.2536 0.7492 0.9986
O11 0.2547 0.0012 0.2494
O12 0.5016 0.2520 0.2454
O13 0.5022 0.2522 0.7447
O14 0.5016 0.7509 0.2458
O15 0.5043 0.7507 0.7447
O16 0.7481 0.0012 0.2490
O17 0.7480 0.7480 0.9957
O18 0.7492 0.2536 0.9986
O19 0.7492 0.9985 0.7433
O20 0.7508 0.2521 0.4924
O21 0.7509 0.5016 0.2458
O22 0.7507 0.5043 0.7447
O23 0.7510 0.7510 0.4952
O24 0.9985 0.7492 0.7433

Principal peaks in the range 2θ from 10° to 90°, by angle:
2θ 23.13, intensity 9; 2θ 32.95, intensity 100; 2θ 40.64, intensity 10; 2θ 47.22, intensity 35; 2θ 47.42, intensity 17; 2θ 58.79, intensity 23; 2θ 58.92, intensity 12; 2θ 69.00, intensity 9; 2θ 69.15, intensity 18; 2θ 78.59, intensity 10